# 1
This entry pairs a crystal structure of Rb3SbF6 with its computed PXRD pattern. Radiation: Cu Ka. Structure: DFT lattice parameters and positions (GGA-PBE).
Peak positions follow from Bragg's law for the DFT cell and can differ from measured ones.

Cell and atoms:
```
Rb3SbF6
1.0
7.2342 0.0000 0.0000
-1.8616 7.0193 0.0000
-1.7130 -2.2156 6.7170
Rb Sb F
3 1 6
direct
0.0000 0.0000 0.0000
0.0000 0.5000 0.5000
0.5000 0.0000 0.5000
0.0000 0.0000 0.5000
0.0491 0.7719 0.2728
0.2214 0.9307 0.7182
0.2275 0.2188 0.4325
0.7725 0.7812 0.5675
0.7786 0.0693 0.2818
0.9509 0.2281 0.7272
```

Top 10 peaks for 5° ≤ 2θ ≤ 70°, most intense first:
| 2θ (°) | intensity | index |
| --- | --- | --- |
| 13.31 | 100.0 | 1 0 0 |
| 13.18 | 51.0 | 0 0 1 |
| 31.36 | 24.2 | 2 0 -2 |
| 41.36 | 19.3 | 2 -2 2 |
| 26.86 | 16.0 | 2 0 0 |
| 26.54 | 15.9 | 0 0 2 |
| 26.75 | 15.5 | 0 2 0 |
| 25.69 | 14.0 | 2 -1 0 |
| 33.98 | 12.3 | 2 -2 1 |
| 31.14 | 11.6 | 2 -2 0 |

# 2
This entry pairs a crystal structure of LiPt3O4 with its computed PXRD pattern. Radiation: Cu Ka. Structure: DFT lattice parameters and positions (GGA-PBE).
Peak positions follow from Bragg's law for the DFT cell and can differ from measured ones.

Cell and atoms:
```
LiPt3O4
1.0
5.7336 0.0000 0.0000
0.0000 5.7336 0.0000
0.0000 0.0000 5.7336
Li Pt O
2 6 8
direct
0.0000 0.0000 0.0000
0.5000 0.5000 0.5000
0.0000 0.2500 0.5000
0.0000 0.7500 0.5000
0.2500 0.5000 0.0000
0.5000 0.0000 0.2500
0.5000 0.0000 0.7500
0.7500 0.5000 0.0000
0.2500 0.2500 0.2500
0.2500 0.2500 0.7500
0.2500 0.7500 0.2500
0.2500 0.7500 0.7500
0.7500 0.2500 0.2500
0.7500 0.2500 0.7500
0.7500 0.7500 0.2500
0.7500 0.7500 0.7500
```

Top 10 peaks for 5° ≤ 2θ ≤ 70°, most intense first:
| 2θ (°) | intensity | index |
| --- | --- | --- |
| 34.99 | 100.0 | 2 1 0 |
| 21.92 | 38.2 | 1 1 0 |
| 55.52 | 24.0 | 2 2 2 |
| 58.00 | 23.9 | 3 2 0 |
| 38.46 | 20.4 | 2 1 1 |
| 65.07 | 11.4 | 4 0 0 |
| 60.41 | 11.1 | 3 2 1 |
| 50.33 | 8.6 | 3 1 0 |
| 69.56 | 5.0 | 4 1 1 |
| 31.20 | 3.7 | 2 0 0 |